For Li2ZrCdIn2Pd2, a DFT-relaxed cell (PBE, OQMD) gives the simulated powder XRD pattern in this record (Cu Kα (weighted mean of Kα1 and Kα2)).

Top 6 peaks for 5 to 70 degrees two-theta, in order of rising 2θ:
(hkl)  2theta  Rel. int.
1 0 1  23.4  24
1 1 0  27.2  9
2 0 0  38.7  100
2 1 1  45.8  8
0 0 4  55.8  5
2 2 0  56.0  11

Atomic structure:
```
data_Li2ZrCdIn2Pd2
_chemical_formula_sum 'Li2 Zr1 Cd1 In2 Pd2'
_symmetry_space_group_name_H-M 'P 1'
_symmetry_Int_Tables_number 1
_cell_length_a 4.643
_cell_length_b 4.643
_cell_length_c 6.591
_cell_angle_alpha 90.00
_cell_angle_beta 90.00
_cell_angle_gamma 90.00
loop_
_symmetry_equiv_pos_as_xyz
'x,y,z'
loop_
_atom_site_label
_atom_site_type_symbol
_atom_site_fract_x
_atom_site_fract_y
_atom_site_fract_z
Li1 Li 0.000 0.500 0.226
Li2 Li 0.500 0.000 0.774
Zr1 Zr 0.000 0.000 0.500
Cd1 Cd 0.500 0.500 0.000
In1 In 0.000 0.000 0.000
In2 In 0.500 0.500 0.500
Pd1 Pd 0.000 0.500 0.737
Pd2 Pd 0.500 0.000 0.263
```